The following is a theoretical powder diffraction line list of Cs7In3As6. It was derived from a cell relaxed with PBE, using copper Kα.

Top 6 peaks for 2θ = 10–90°, low angle first:
index	two_theta	Rel. int.
2 -1 3	28.19	715
0 3 -1	28.32	863
1 2 -3	28.50	728
2 1 -3	29.51	786
0 1 5	30.48	1000
3 1 0	31.28	784

Cell and atoms:
a b c (Å): 8.8921 9.8748 15.0730
angles (deg): 85.37 85.61 87.32
Fractional positions:
Cs (0.1741, 0.1278, 0.3630)
Cs (0.1861, 0.6849, 0.8709)
Cs (0.2433, 0.5084, 0.4677)
Cs (0.2552, 0.9977, 0.0188)
Cs (0.2766, 0.7617, 0.2502)
Cs (0.3087, 0.8439, 0.6060)
Cs (0.3104, 0.4153, 0.1165)
Cs (0.6896, 0.5847, 0.8835)
Cs (0.6913, 0.1561, 0.3940)
Cs (0.7234, 0.2383, 0.7498)
Cs (0.7448, 0.0023, 0.9812)
Cs (0.7567, 0.4916, 0.5323)
Cs (0.8139, 0.3151, 0.1291)
Cs (0.8259, 0.8722, 0.6370)
In (0.0574, 0.3171, 0.8681)
In (0.0852, 0.2275, 0.6225)
In (0.3647, 0.4560, 0.7035)
In (0.6353, 0.5440, 0.2965)
In (0.9148, 0.7725, 0.3775)
In (0.9426, 0.6829, 0.1319)
As (0.0395, 0.4899, 0.7017)
As (0.0892, 0.0521, 0.7875)
As (0.3607, 0.0990, 0.7732)
As (0.3790, 0.2921, 0.8749)
As (0.4106, 0.1986, 0.6151)
As (0.4865, 0.0999, 0.1918)
As (0.5135, 0.9001, 0.8082)
As (0.5894, 0.8014, 0.3849)
As (0.6210, 0.7079, 0.1251)
As (0.6393, 0.9010, 0.2268)
As (0.9108, 0.9479, 0.2125)
As (0.9605, 0.5101, 0.2983)